No. 1
La7SbSe5: simulated powder XRD pattern (λ = 1.5418 Å (Cu Kα)), based on the GGA-PBE geometry in Alexandria.
Neutral-atom scattering factors, no anomalous dispersion.

Most intense lines, 2θ = 5–70°, by angle:
27.53 deg, 3.240 Å, intensity 722, (2 0 7)
28.76 deg, 3.104 Å, intensity 1000, (3 1 2)
29.83 deg, 2.995 Å, intensity 652, (3 1 -3)
30.77 deg, 2.906 Å, intensity 281, (2 0 8)
38.51 deg, 2.338 Å, intensity 324, (1 1 9)
41.63 deg, 2.169 Å, intensity 612, (0 2 0)
41.90 deg, 2.156 Å, intensity 329, (5 1 5)
42.02 deg, 2.150 Å, intensity 231, (6 0 5)
50.66 deg, 1.802 Å, intensity 267, (2 2 7)
68.19 deg, 1.375 Å, intensity 234, (9 1 7)

Structural model:
Lattice parameters (Å, degrees): 14.232 4.337 25.471 90.00 90.01 90.00
Space group C2/m (No. 12)
Asymmetric unit:
La  0.028  0.000  0.250 x4
La  0.093  0.500  0.113 x4
La  0.093  0.500  0.387 x4
La  0.137  0.000  0.536 x4
La  0.137  0.000  0.964 x4
La  0.185  0.500  0.678 x4
La  0.185  0.500  0.822 x4
Sb  0.194  0.500  0.250 x4
Se  0.000  0.500  0.000 x2
Se  0.000  0.500  0.500 x2
Se  0.048  0.000  0.642 x4
Se  0.048  0.000  0.858 x4
Se  0.226  0.000  0.072 x4
Se  0.226  0.000  0.428 x4



No. 2
LaSbSe2: simulated powder XRD pattern (λ = 1.5418 Å (Cu Kα)), based on the GGA-PBE geometry in Alexandria.
Neutral-atom scattering factors, no anomalous dispersion.

Most intense lines, 2θ = 5–70°, by angle:
23.07 deg, 3.856 Å, intensity 165, (1 0 0)
30.02 deg, 2.977 Å, intensity 526, (1 0 -2)
32.56 deg, 2.750 Å, intensity 995, (1 1 0)
34.86 deg, 2.574 Å, intensity 1000, (0 1 2)
39.65 deg, 2.273 Å, intensity 327, (1 0 2)
46.29 deg, 1.961 Å, intensity 228, (0 2 0)
53.74 deg, 1.706 Å, intensity 133, (0 0 4)
56.16 deg, 1.638 Å, intensity 176, (1 2 -2)
58.00 deg, 1.590 Å, intensity 169, (1 1 -4)
62.55 deg, 1.485 Å, intensity 168, (1 2 2)

Structural model:
Lattice parameters (Å, degrees): 3.999 3.922 7.076 90.00 105.38 90.00
Space group P2/m (No. 10)
Asymmetric unit:
La  0.000  0.000  0.000 x1
Sb  0.000  0.000  0.500 x1
Se  0.382  0.500  0.769 x2



No. 3
LaSm5Sb5: simulated powder XRD pattern (λ = 1.5418 Å (Cu Kα)), based on the GGA-PBE geometry in Alexandria.
Neutral-atom scattering factors, no anomalous dispersion.

Most intense lines, 2θ = 5–70°, by angle:
24.45 deg, 3.641 Å, intensity 100, (1 1 -2)
28.26 deg, 3.158 Å, intensity 1000, (2 0 2)
28.39 deg, 3.143 Å, intensity 492, (4 0 -2)
40.43 deg, 2.231 Å, intensity 950, (2 2 2)
40.58 deg, 2.223 Å, intensity 188, (6 0 0)
50.05 deg, 1.823 Å, intensity 204, (2 2 -4)
50.17 deg, 1.819 Å, intensity 203, (6 2 0)
66.15 deg, 1.413 Å, intensity 220, (2 4 2)
66.21 deg, 1.412 Å, intensity 87, (4 2 4)
66.40 deg, 1.408 Å, intensity 172, (8 0 2)

Structural model:
Lattice parameters (Å, degrees): 14.049 6.323 8.922 90.00 108.30 90.00
Space group C2/m (No. 12)
Asymmetric unit:
La  0.000  0.000  0.000 x2
Sm  0.000  0.000  0.500 x2
Sm  0.165  0.500  0.334 x4
Sm  0.168  0.500  0.835 x4
Sb  0.000  0.500  0.000 x2
Sb  0.169  0.000  0.340 x4
Sb  0.170  0.000  0.829 x4